Record 1
The following is a calculated powder diffraction line list of Ag3HPd. It was derived from DFT lattice parameters and positions (PBE), using Cu Kα (weighted mean of Kα1 and Kα2).
Intensities are scaled so that the largest is 100.

Crystal structure
```
data_Ag3HPd
_chemical_formula_sum 'Ag12 H4 Pd4'
_cell_length_a 5.7389
_cell_length_b 5.7459
_cell_length_c 8.6760
_cell_angle_alpha 90.00
_cell_angle_beta 90.00
_cell_angle_gamma 90.00
_symmetry_space_group_name_H-M 'I 21 21 21'
_symmetry_Int_Tables_number 24
loop_
_symmetry_equiv_pos_as_xyz
'x,y,z'
'-x,-y+1/2,z'
'x,-y,-z+1/2'
'-x,y+1/2,-z+1/2'
'x+1/2,y+1/2,z+1/2'
'-x+1/2,-y,z+1/2'
'x+1/2,-y+1/2,-z'
'-x+1/2,y,-z'
loop_
_atom_site_label
_atom_site_type_symbol
_atom_site_fract_x
_atom_site_fract_y
_atom_site_fract_z
Ag1 Ag 0.0000 0.2500 0.2431
Ag2 Ag 0.0000 0.2500 0.7574
Ag3 Ag 0.2500 0.0277 0.0000
H1 H 0.0000 0.2500 0.5003
Pd1 Pd 0.2500 0.4714 0.5000
```

Largest 10 diffraction maxima, by angle, 2θ = 10–90°:
- 2θ 36.48, I 3
- 2θ 37.57, I 100
- 2θ 41.64, I 19
- 2θ 44.63, I 30
- 2θ 62.68, I 20
- 2θ 64.90, I 5
- 2θ 65.00, I 5
- 2θ 73.30, I 13
- 2θ 77.53, I 20
- 2θ 80.18, I 9

Record 2
The following is a calculated powder diffraction line list of Ag3H4Pd9. It was derived from DFT lattice parameters and positions (PBE), using Cu Kα (weighted mean of Kα1 and Kα2).
Intensities are scaled so that the largest is 100.

Crystal structure
```
data_Ag3H4Pd9
_chemical_formula_sum 'Ag9 H12 Pd27'
_cell_length_a 5.6775
_cell_length_b 5.6775
_cell_length_c 22.3775
_cell_angle_alpha 90.00
_cell_angle_beta 90.00
_cell_angle_gamma 120.00
_symmetry_space_group_name_H-M 'R -3 m'
_symmetry_Int_Tables_number 166
_symmetry_space_group_name_Hall '-R 3 2"'
loop_
_atom_site_label
_atom_site_type_symbol
_atom_site_fract_x
_atom_site_fract_y
_atom_site_fract_z
Ag1 Ag 0.0000 0.0000 0.0000
Ag2 Ag 0.0000 0.0000 0.4385
H1 H 0.0000 0.0000 0.1430
H2 H 0.0000 0.0000 0.2849
Pd1 Pd 0.0000 0.5000 0.0000
Pd2 Pd 0.0016 0.5008 0.4393
```

Largest 10 diffraction maxima, by angle, 2θ = 10–90°:
- 2θ 36.13, I 52
- 2θ 36.78, I 13
- 2θ 37.45, I 100
- 2θ 40.06, I 16
- 2θ 41.93, I 34
- 2θ 46.61, I 70
- 2θ 58.93, I 17
- 2θ 65.80, I 28
- 2θ 77.42, I 32
- 2θ 78.72, I 16

Record 3
The following is a calculated powder diffraction line list of AgH3Pd6. It was derived from DFT lattice parameters and positions (PBE), using Cu Kα (weighted mean of Kα1 and Kα2).
Intensities are scaled so that the largest is 100.

Crystal structure
```
data_AgH3Pd6
_chemical_formula_sum 'Ag1 H3 Pd6'
_cell_length_a 4.9013
_cell_length_b 4.9050
_cell_length_c 5.6640
_cell_angle_alpha 92.67
_cell_angle_beta 92.09
_cell_angle_gamma 109.61
_symmetry_space_group_name_H-M 'P 1'
_symmetry_Int_Tables_number 1
loop_
_symmetry_equiv_pos_as_xyz
'x,y,z'
loop_
_atom_site_label
_atom_site_type_symbol
_atom_site_fract_x
_atom_site_fract_y
_atom_site_fract_z
Ag1 Ag 0.0000 0.0000 0.0000
H1 H 0.3004 0.6732 0.9730
H2 H 0.7020 0.6762 0.2835
H3 H 0.7329 0.1845 0.5165
Pd1 Pd 0.0093 0.4698 0.7389
Pd2 Pd 0.4728 0.9355 0.2412
Pd3 Pd 0.4900 0.4339 0.4940
Pd4 Pd 0.4901 0.9528 0.7410
Pd5 Pd 0.5335 0.4564 0.0000
Pd6 Pd 0.9826 0.9474 0.4886
```

Largest 10 diffraction maxima, by angle, 2θ = 10–90°:
- 2θ 19.25, I 8
- 2θ 38.90, I 35
- 2θ 39.09, I 100
- 2θ 43.70, I 25
- 2θ 45.27, I 22
- 2θ 47.16, I 19
- 2θ 64.91, I 7
- 2θ 66.17, I 7
- 2θ 67.29, I 7
- 2θ 77.26, I 8

Record 4
The following is a calculated powder diffraction line list of AgH3Pd5. It was derived from DFT lattice parameters and positions (PBE), using Cu Kα (weighted mean of Kα1 and Kα2).
Intensities are scaled so that the largest is 100.

Crystal structure
```
data_AgH3Pd5
_chemical_formula_sum 'Ag4 H12 Pd20'
_cell_length_a 10.1614
_cell_length_b 5.7742
_cell_length_c 8.6559
_cell_angle_alpha 90.00
_cell_angle_beta 125.16
_cell_angle_gamma 90.00
_symmetry_space_group_name_H-M 'C 1 m 1'
_symmetry_Int_Tables_number 8
loop_
_symmetry_equiv_pos_as_xyz
'x,y,z'
'x,-y,z'
'x+1/2,y+1/2,z'
'x+1/2,-y+1/2,z'
loop_
_atom_site_label
_atom_site_type_symbol
_atom_site_fract_x
_atom_site_fract_y
_atom_site_fract_z
Ag1 Ag 0.0000 0.0000 0.0000
Ag2 Ag 0.0181 0.5000 0.3417
H1 H 0.1336 0.5000 0.9250
H2 H 0.2586 0.0000 0.1842
H3 H 0.2724 0.0000 0.8576
H4 H 0.2847 0.0000 0.5271
H5 H 0.3620 0.5000 0.7075
H6 H 0.3836 0.5000 0.4090
Pd1 Pd 0.0060 0.5000 0.0062
Pd2 Pd 0.0099 0.5000 0.6677
Pd3 Pd 0.0107 0.0000 0.3305
Pd4 Pd 0.0136 0.0000 0.6686
Pd5 Pd 0.2540 0.2419 0.6665
Pd6 Pd 0.2569 0.2425 0.3326
Pd7 Pd 0.2599 0.2434 0.0064
```

Largest 10 diffraction maxima, by angle, 2θ = 10–90°:
- 2θ 37.79, I 50
- 2θ 37.95, I 100
- 2θ 38.15, I 50
- 2θ 43.58, I 34
- 2θ 44.39, I 64
- 2θ 63.71, I 21
- 2θ 64.20, I 21
- 2θ 76.27, I 12
- 2θ 77.26, I 23
- 2θ 77.53, I 12

Record 5
The following is a calculated powder diffraction line list of Pm2AgHPd6. It was derived from DFT lattice parameters and positions (PBE), using Cu Kα (weighted mean of Kα1 and Kα2).
Intensities are scaled so that the largest is 100.

Crystal structure
```
data_Pm2AgHPd6
_chemical_formula_sum 'Pm4 Ag2 H2 Pd12'
_cell_length_a 9.6393
_cell_length_b 5.8164
_cell_length_c 7.0984
_cell_angle_alpha 90.00
_cell_angle_beta 115.96
_cell_angle_gamma 90.00
_symmetry_space_group_name_H-M 'C 1 2/m 1'
_symmetry_Int_Tables_number 12
loop_
_symmetry_equiv_pos_as_xyz
'x,y,z'
'-x,-y,-z'
'-x,y,-z'
'x,-y,z'
'x+1/2,y+1/2,z'
'-x+1/2,-y+1/2,-z'
'-x+1/2,y+1/2,-z'
'x+1/2,-y+1/2,z'
loop_
_atom_site_label
_atom_site_type_symbol
_atom_site_fract_x
_atom_site_fract_y
_atom_site_fract_z
Pm1 Pm 0.2501 0.0000 0.1870
Ag1 Ag 0.0000 0.5000 0.0000
H1 H 0.0000 0.0000 0.5000
Pd1 Pd 0.0674 0.2566 0.3575
Pd2 Pd 0.2045 0.0000 0.7236
```

Largest 10 diffraction maxima, by angle, 2θ = 10–90°:
- 2θ 27.96, I 26
- 2θ 33.87, I 43
- 2θ 37.24, I 67
- 2θ 37.38, I 32
- 2θ 37.55, I 47
- 2θ 38.10, I 48
- 2θ 38.69, I 30
- 2θ 41.00, I 100
- 2θ 41.87, I 29
- 2θ 43.17, I 39

Record 6
The following is a calculated powder diffraction line list of PrAgH6Pd4. It was derived from DFT lattice parameters and positions (PBE), using Cu Kα (weighted mean of Kα1 and Kα2).
Intensities are scaled so that the largest is 100.

Crystal structure
```
data_PrAgH6Pd4
_chemical_formula_sum 'Pr1 Ag1 H6 Pd4'
_cell_length_a 4.8192
_cell_length_b 4.8192
_cell_length_c 6.7724
_cell_angle_alpha 90.00
_cell_angle_beta 90.00
_cell_angle_gamma 120.00
_symmetry_space_group_name_H-M 'P 6/m m m'
_symmetry_Int_Tables_number 191
_symmetry_space_group_name_Hall '-P 6 2'
loop_
_atom_site_label
_atom_site_type_symbol
_atom_site_fract_x
_atom_site_fract_y
_atom_site_fract_z
Pr1 Pr 0.0000 0.0000 0.0000
Ag1 Ag 0.0000 0.0000 0.5000
H1 H 0.0000 0.5000 0.1479
Pd1 Pd 0.3333 0.6667 0.3009
```

Largest 10 diffraction maxima, by angle, 2θ = 10–90°:
- 2θ 25.06, I 11
- 2θ 34.10, I 100
- 2θ 37.32, I 99
- 2θ 51.44, I 30
- 2θ 55.80, I 20
- 2θ 65.25, I 29
- 2θ 67.30, I 17
- 2θ 67.63, I 10
- 2θ 79.57, I 11
- 2θ 89.47, I 13

Record 7
The following is a calculated powder diffraction line list of AgH8Pd2Pt3. It was derived from DFT lattice parameters and positions (PBE), using Cu Kα (weighted mean of Kα1 and Kα2).
Intensities are scaled so that the largest is 100.

Crystal structure
```
data_AgH8Pd2Pt3
_chemical_formula_sum 'Ag3 H24 Pd6 Pt9'
_cell_length_a 5.6169
_cell_length_b 5.6169
_cell_length_c 14.5784
_cell_angle_alpha 90.00
_cell_angle_beta 90.00
_cell_angle_gamma 120.00
_symmetry_space_group_name_H-M 'R 3 m'
_symmetry_Int_Tables_number 160
_symmetry_space_group_name_Hall 'R 3 -2"'
loop_
_atom_site_label
_atom_site_type_symbol
_atom_site_fract_x
_atom_site_fract_y
_atom_site_fract_z
Ag1 Ag 0.0000 0.0000 0.0000
H1 H 0.0000 0.0000 0.3934
H2 H 0.0000 0.0000 0.8645
H3 H 0.0484 0.5242 0.3994
H4 H 0.1768 0.3536 0.2103
Pd1 Pd 0.0000 0.0000 0.2680
Pd2 Pd 0.0000 0.0000 0.6361
Pt1 Pt 0.0030 0.5015 0.1362
```

Largest 10 diffraction maxima, by angle, 2θ = 10–90°:
- 2θ 18.26, I 24
- 2θ 30.65, I 23
- 2θ 35.91, I 27
- 2θ 36.98, I 100
- 2θ 37.49, I 56
- 2θ 39.04, I 56
- 2θ 44.80, I 21
- 2θ 63.82, I 25
- 2θ 66.60, I 26
- 2θ 78.71, I 21

Record 8
The following is a calculated powder diffraction line list of Ag2H6PdRh. It was derived from DFT lattice parameters and positions (PBE), using Cu Kα (weighted mean of Kα1 and Kα2).
Intensities are scaled so that the largest is 100.

Crystal structure
```
data_Ag2H6PdRh
_chemical_formula_sum 'Ag2 H6 Pd1 Rh1'
_cell_length_a 4.9254
_cell_length_b 4.9261
_cell_length_c 4.9829
_cell_angle_alpha 90.28
_cell_angle_beta 119.20
_cell_angle_gamma 119.64
_symmetry_space_group_name_H-M 'P -1'
_symmetry_Int_Tables_number 2
loop_
_symmetry_equiv_pos_as_xyz
'x,y,z'
'-x,-y,-z'
loop_
_atom_site_label
_atom_site_type_symbol
_atom_site_fract_x
_atom_site_fract_y
_atom_site_fract_z
Ag1 Ag 0.9997 0.2479 0.2509
H1 H 0.0141 0.8211 0.2648
H2 H 0.4210 0.6804 0.2543
H3 H 0.4407 0.7648 0.7515
Pd1 Pd 0.5000 0.5000 0.0000
Rh1 Rh 0.5000 0.0000 0.5000
```

Largest 10 diffraction maxima, by angle, 2θ = 10–90°:
- 2θ 35.81, I 100
- 2θ 36.06, I 49
- 2θ 36.28, I 48
- 2θ 36.48, I 95
- 2θ 51.72, I 17
- 2θ 52.09, I 17
- 2θ 52.37, I 17
- 2θ 65.25, I 25
- 2θ 65.40, I 16
- 2θ 75.90, I 11